Starting from DFT lattice parameters and positions (GGA-PBE), the X-ray powder pattern of Sm2MgBi2O8 was computed for Cu Ka.
No peak broadening, texture or thermal motion is included.

Largest 10 diffraction maxima, sorted by position, 2θ from 10° to 80°:
2theta	I (rel.)	(hkl)
25.0	702	1 -1 1
25.2	697	-1 1 1
28.7	1000	1 1 -2
29.9	234	0 0 2
31.4	370	0 2 -1
32.4	342	2 0 -1
39.0	163	1 1 -3
41.0	431	2 -2 0
44.6	181	2 0 1
50.2	297	2 2 -2

Structure:
Cell lengths 5.619, 5.800, 6.993 Å; angles 110.08, 108.56, 100.88 degrees
Fractional positions:
Sm1 0.000 0.000 0.000
Sm2 0.274 0.770 0.544
Mg1 0.245 0.239 0.482
Bi1 0.538 0.534 0.069
Bi2 0.834 0.329 0.660
O1 0.141 0.146 0.731
O2 0.183 0.685 0.869
O3 0.305 0.402 0.256
O4 0.483 0.026 0.415
O5 0.593 0.583 0.731
O6 0.691 0.187 0.872
O7 0.938 0.382 0.412
O8 0.960 0.849 0.256